Calculated powder X-ray diffraction pattern
Compound: K2ZnGe3S8
Radiation: Cu Kα (weighted mean of Kα1 and Kα2)
Structure: the GGA-PBE geometry in OQMD

The 8 most intense peaks (2θ = 10–90°), sorted by position:
2θ (°)  I_rel  (hkl)
14.4  59  1 1 0
14.6  100  0 2 0
22.6  21  1 2 2
27.1  76  2 1 -2
29.2  28  2 1 2
30.4  36  0 2 5
32.0  20  0 0 6
38.4  18  2 3 -4

Structure:
a = 7.168 Å, b = 12.162 Å, c = 16.887 Å
α = 90.00°, β = 96.17°, γ = 90.00°
Space group P2_1 (No. 4)
Asymmetric unit:
K  0.216  0.000  0.081 x2
K  0.241  0.620  0.579 x2
K  0.241  0.670  0.203 x2
K  0.251  0.963  0.694 x2
Zn  0.008  0.318  0.094 x2
Zn  0.451  0.816  0.394 x2
Ge  0.046  0.294  0.597 x2
Ge  0.249  0.272  0.929 x2
Ge  0.265  0.249  0.266 x2
Ge  0.274  0.358  0.429 x2
Ge  0.314  0.378  0.770 x2
Ge  0.489  0.836  0.892 x2
S  0.002  0.888  0.522 x2
S  0.027  0.734  0.035 x2
S  0.031  0.179  0.190 x2
S  0.061  0.434  0.688 x2
S  0.201  0.690  0.394 x2
S  0.227  0.428  0.304 x2
S  0.239  0.940  0.893 x2
S  0.261  0.441  0.100 x2
S  0.277  0.199  0.806 x2
S  0.292  0.450  0.893 x2
S  0.297  0.180  0.391 x2
S  0.297  0.191  0.600 x2
S  0.415  0.915  0.272 x2
S  0.449  0.732  0.777 x2
S  0.484  0.935  0.504 x2
S  0.491  0.205  0.010 x2